Record 1
# Tl3Hg6Sb2
Simulated powder diffraction line list, Cu Kα. Input: the PBE geometry in Alexandria.
Peak positions follow from Bragg's law for the DFT cell and can differ from measured ones.

Structure:
```
Tl3Hg6Sb2
1.0
4.884 0.000 0.000
2.307 6.107 0.000
0.026 0.406 10.872
Tl Hg Sb
3 6 2
direct
0.000 0.000 0.000
0.147 0.702 0.604
0.853 0.298 0.396
0.283 0.429 0.904
0.396 0.211 0.167
0.431 0.123 0.613
0.569 0.877 0.387
0.604 0.789 0.833
0.717 0.571 0.096
0.158 0.692 0.285
0.842 0.308 0.715
```

Principal peaks in the range 2θ from 15° to 90°, by intensity:
| two_theta | I (rel.) |
| --- | --- |
| 36.8 | 100 |
| 32.9 | 83 |
| 31.7 | 80 |
| 32.0 | 75 |
| 34.2 | 70 |
| 32.4 | 65 |
| 29.2 | 65 |
| 29.8 | 62 |

Record 2
# Tm3HgSb
Simulated powder diffraction line list, Cu Kα. Input: the PBE geometry in Alexandria.
Peak positions follow from Bragg's law for the DFT cell and can differ from measured ones.

Structure:
```
Tm3HgSb
1.0
8.439 -2.422 0.000
8.439 2.422 0.000
-0.390 0.000 6.435
Tm Hg Sb
6 2 2
direct
0.008 0.008 0.256
0.203 0.203 0.638
0.391 0.391 0.005
0.609 0.609 0.995
0.797 0.797 0.362
0.992 0.992 0.744
0.206 0.206 0.120
0.794 0.794 0.880
0.399 0.399 0.504
0.601 0.601 0.496
```

Principal peaks in the range 2θ from 15° to 90°, by intensity:
| two_theta | I (rel.) |
| --- | --- |
| 32.4 | 100 |
| 34.1 | 76 |
| 34.0 | 39 |
| 37.1 | 36 |
| 51.2 | 25 |
| 44.1 | 17 |
| 58.7 | 15 |
| 58.9 | 15 |

Record 3
# Tm6HgSb2
Simulated powder diffraction line list, Cu Kα. Input: the PBE geometry in Alexandria.
Peak positions follow from Bragg's law for the DFT cell and can differ from measured ones.

Structure:
```
Tm6HgSb2
1.0
6.274 0.000 0.000
0.000 8.143 0.000
-6.114 0.000 9.940
Tm Hg Sb
12 2 4
direct
0.078 0.043 0.228
0.078 0.457 0.728
0.169 0.707 0.054
0.169 0.793 0.554
0.408 0.157 0.044
0.408 0.343 0.544
0.592 0.657 0.456
0.592 0.843 0.956
0.831 0.207 0.446
0.831 0.293 0.946
0.922 0.543 0.272
0.922 0.957 0.772
0.500 0.000 0.500
0.500 0.500 0.000
0.338 0.114 0.737
0.338 0.386 0.237
0.662 0.614 0.763
0.662 0.886 0.263
```

Principal peaks in the range 2θ from 15° to 90°, by intensity:
| two_theta | I (rel.) |
| --- | --- |
| 32.0 | 100 |
| 36.1 | 84 |
| 27.7 | 51 |
| 30.3 | 39 |
| 31.7 | 38 |
| 30.5 | 32 |
| 32.7 | 28 |
| 28.3 | 27 |

Record 4
# VHgSb
Simulated powder diffraction line list, Cu Kα. Input: the PBE geometry in Alexandria.
Peak positions follow from Bragg's law for the DFT cell and can differ from measured ones.

Structure:
```
VHgSb
1.0
2.841 -5.903 0.000
2.841 5.903 0.000
0.000 0.000 7.538
V Hg Sb
4 4 4
direct
0.098 0.902 0.923
0.402 0.598 0.423
0.598 0.402 0.577
0.902 0.098 0.077
0.177 0.323 0.750
0.323 0.177 0.250
0.677 0.823 0.750
0.823 0.677 0.250
0.189 0.811 0.583
0.311 0.689 0.083
0.689 0.311 0.917
0.811 0.189 0.417
```

Principal peaks in the range 2θ from 15° to 90°, by intensity:
| two_theta | I (rel.) |
| --- | --- |
| 37.1 | 100 |
| 32.6 | 82 |
| 39.0 | 74 |
| 39.7 | 70 |
| 28.1 | 52 |
| 58.1 | 45 |
| 35.1 | 44 |
| 19.1 | 44 |

Record 5
# HgSbW3
Simulated powder diffraction line list, Cu Kα. Input: the PBE geometry in Alexandria.
Peak positions follow from Bragg's law for the DFT cell and can differ from measured ones.

Structure:
```
HgSbW3
1.0
4.905 0.000 0.000
0.000 4.905 0.000
0.000 0.000 4.905
Hg Sb W
1 1 3
direct
0.000 0.000 0.000
0.500 0.500 0.500
0.000 0.500 0.500
0.500 0.000 0.500
0.500 0.500 0.000
```

Principal peaks in the range 2θ from 15° to 90°, by intensity:
| two_theta | I (rel.) |
| --- | --- |
| 31.6 | 100 |
| 36.6 | 98 |
| 52.8 | 69 |
| 62.8 | 43 |
| 89.3 | 33 |
| 66.0 | 24 |
| 86.5 | 19 |
| 25.7 | 13 |

Record 6
# YHg2Sb2
Simulated powder diffraction line list, Cu Kα. Input: the PBE geometry in Alexandria.
Peak positions follow from Bragg's law for the DFT cell and can differ from measured ones.

Structure:
```
YHg2Sb2
1.0
-2.065 2.065 8.997
2.065 -2.065 8.997
2.065 2.065 -8.997
Y Hg Sb
1 2 2
direct
0.000 0.000 0.000
0.250 0.750 0.500
0.750 0.250 0.500
0.420 0.420 0.000
0.580 0.580 0.000
```

Principal peaks in the range 2θ from 15° to 90°, by intensity:
| two_theta | I (rel.) |
| --- | --- |
| 32.2 | 100 |
| 19.7 | 32 |
| 36.7 | 32 |
| 43.8 | 30 |
| 29.8 | 24 |
| 33.0 | 20 |
| 73.2 | 19 |
| 53.9 | 19 |

Record 7
# ZnHg2Sb2
Simulated powder diffraction line list, Cu Kα. Input: the PBE geometry in Alexandria.
Peak positions follow from Bragg's law for the DFT cell and can differ from measured ones.

Structure:
```
ZnHg2Sb2
1.0
-2.995 2.995 4.777
2.995 -2.995 4.777
2.995 2.995 -4.777
Zn Hg Sb
1 2 2
direct
0.000 0.000 0.000
0.250 0.750 0.500
0.750 0.250 0.500
0.269 0.269 0.000
0.731 0.731 0.000
```

Principal peaks in the range 2θ from 15° to 90°, by intensity:
| two_theta | I (rel.) |
| --- | --- |
| 29.8 | 100 |
| 18.6 | 97 |
| 35.4 | 80 |
| 48.8 | 48 |
| 42.7 | 38 |
| 46.9 | 36 |
| 58.2 | 28 |
| 28.2 | 25 |

Record 8
# ZnHgSb2
Simulated powder diffraction line list, Cu Kα. Input: the PBE geometry in Alexandria.
Peak positions follow from Bragg's law for the DFT cell and can differ from measured ones.

Structure:
```
ZnHgSb2
1.0
3.585 -2.055 0.000
3.585 2.055 0.000
-2.264 0.000 7.194
Zn Hg Sb
1 1 2
direct
0.000 0.000 0.000
0.262 0.262 0.791
0.495 0.495 0.493
0.748 0.748 0.245
```

Principal peaks in the range 2θ from 15° to 90°, by intensity:
| two_theta | I (rel.) |
| --- | --- |
| 29.9 | 100 |
| 30.2 | 49 |
| 43.8 | 37 |
| 42.2 | 35 |
| 54.3 | 19 |
| 41.5 | 18 |
| 44.1 | 18 |
| 72.3 | 16 |

Record 9
# ScHg5
Simulated powder diffraction line list, Cu Kα. Input: the PBE geometry in Alexandria.
Peak positions follow from Bragg's law for the DFT cell and can differ from measured ones.

Structure:
```
ScHg5
1.0
3.807 0.000 0.000
0.000 3.807 0.000
0.000 0.000 9.872
Sc Hg
1 5
direct
0.000 0.000 0.000
0.000 0.000 0.324
0.000 0.000 0.676
0.500 0.500 0.157
0.500 0.500 0.500
0.500 0.500 0.843
```

Principal peaks in the range 2θ from 15° to 90°, by intensity:
| two_theta | I (rel.) |
| --- | --- |
| 36.1 | 100 |
| 33.3 | 63 |
| 61.3 | 44 |
| 47.8 | 23 |
| 66.6 | 16 |
| 76.5 | 11 |
| 79.6 | 11 |
| 81.2 | 11 |

Record 10
# ScHg3
Simulated powder diffraction line list, Cu Kα. Input: the PBE geometry in Alexandria.
Peak positions follow from Bragg's law for the DFT cell and can differ from measured ones.

Structure:
```
ScHg3
1.0
3.512 0.000 0.000
0.000 5.147 0.000
-0.081 0.000 5.208
Sc Hg
1 3
direct
0.000 0.000 0.000
0.258 0.500 0.756
0.500 0.000 0.500
0.742 0.500 0.244
```

Principal peaks in the range 2θ from 15° to 90°, by intensity:
| two_theta | I (rel.) |
| --- | --- |
| 35.2 | 100 |
| 38.8 | 77 |
| 30.9 | 70 |
| 34.9 | 51 |
| 47.3 | 49 |
| 62.7 | 38 |
| 55.3 | 28 |
| 24.3 | 18 |

Record 11
# Sc3Hg7
Simulated powder diffraction line list, Cu Kα. Input: the PBE geometry in Alexandria.
Peak positions follow from Bragg's law for the DFT cell and can differ from measured ones.

Structure:
```
Sc3Hg7
1.0
7.960 -2.337 0.000
7.960 2.337 0.000
-1.829 0.000 5.970
Sc Hg
3 7
direct
0.000 0.000 0.000
0.198 0.198 0.633
0.802 0.802 0.367
0.000 0.000 0.500
0.200 0.200 0.134
0.393 0.393 0.659
0.402 0.402 0.162
0.598 0.598 0.838
0.607 0.607 0.341
0.800 0.800 0.866
```

Principal peaks in the range 2θ from 15° to 90°, by intensity:
| two_theta | I (rel.) |
| --- | --- |
| 35.2 | 100 |
| 34.7 | 89 |
| 38.5 | 40 |
| 39.3 | 32 |
| 56.2 | 23 |
| 43.7 | 22 |
| 59.6 | 18 |
| 27.2 | 18 |

Record 12
# ScHg2
Simulated powder diffraction line list, Cu Kα. Input: the PBE geometry in Alexandria.
Peak positions follow from Bragg's law for the DFT cell and can differ from measured ones.

Structure:
```
ScHg2
1.0
5.749 -2.081 0.000
5.749 2.081 0.000
-2.756 0.000 5.669
Sc Hg
2 4
direct
0.169 0.169 0.101
0.831 0.831 0.899
0.162 0.162 0.586
0.487 0.487 0.232
0.513 0.513 0.768
0.838 0.838 0.414
```

Principal peaks in the range 2θ from 15° to 90°, by intensity:
| two_theta | I (rel.) |
| --- | --- |
| 33.8 | 100 |
| 36.1 | 85 |
| 35.3 | 45 |
| 42.6 | 26 |
| 43.5 | 26 |
| 57.2 | 23 |
| 25.7 | 21 |
| 75.0 | 20 |